# 1
For Cd2As3Br, a structure optimized by DFT (GGA-PBE) gives the computed PXRD pattern in this record (Cu Kα, 1.54184 Å).
Neutral-atom scattering factors, no anomalous dispersion.

Main lines, low angle first (10° ≤ 2θ ≤ 80°):
d [Å], I/Imax
6.288, 16
4.014, 19
3.178, 24
3.086, 100
2.791, 21
2.069, 23
2.007, 22
1.972, 16
1.904, 23
1.711, 10

Structural model:
```
Cd2As3Br
1.0
4.224 -4.826 0.000
4.224 4.826 0.000
-1.587 0.000 8.027
Cd As Br
4 6 2
direct
0.087 0.388 0.292
0.388 0.087 0.792
0.612 0.913 0.208
0.913 0.612 0.708
0.080 0.174 0.972
0.174 0.080 0.472
0.209 0.791 0.250
0.791 0.209 0.750
0.826 0.920 0.528
0.920 0.826 0.028
0.362 0.638 0.750
0.638 0.362 0.250
```

***

# 2
For CdHgAsBr, a structure optimized by DFT (GGA-PBE) gives the computed PXRD pattern in this record (Cu Kα, 1.54184 Å).
Neutral-atom scattering factors, no anomalous dispersion.

Main lines, low angle first (10° ≤ 2θ ≤ 80°):
d [Å], I/Imax
4.348, 24
4.047, 100
3.469, 24
3.418, 24
2.957, 79
2.766, 26
2.553, 31
2.401, 60
1.973, 34
1.749, 41

Structural model:
```
CdHgAsBr
1.0
11.064 0.000 0.000
0.000 4.805 0.000
0.000 0.000 10.213
Cd Hg As Br
4 4 4 4
direct
0.077 0.000 0.219
0.423 0.000 0.219
0.577 0.000 0.781
0.923 0.000 0.781
0.000 0.500 0.500
0.250 0.500 0.760
0.500 0.500 0.500
0.750 0.500 0.240
0.020 0.500 0.750
0.480 0.500 0.750
0.520 0.500 0.250
0.980 0.500 0.250
0.250 0.000 0.025
0.250 0.000 0.425
0.750 0.000 0.575
0.750 0.000 0.975
```

***

# 3
For Cs3AsBr6, a structure optimized by DFT (GGA-PBE) gives the computed PXRD pattern in this record (Cu Kα, 1.54184 Å).
Neutral-atom scattering factors, no anomalous dispersion.

Main lines, low angle first (10° ≤ 2θ ≤ 80°):
d [Å], I/Imax
4.295, 60
3.507, 61
3.037, 100
2.480, 21
2.148, 67
1.921, 21
1.832, 19
1.754, 21
1.624, 20
1.358, 23

Structural model:
```
Cs3AsBr6
1.0
0.000 6.075 6.075
6.075 0.000 6.075
6.075 6.075 0.000
Cs As Br
3 1 6
direct
0.000 0.000 0.000
0.250 0.250 0.250
0.750 0.750 0.750
0.500 0.500 0.500
0.280 0.280 0.720
0.280 0.720 0.280
0.280 0.720 0.720
0.720 0.280 0.280
0.720 0.280 0.720
0.720 0.720 0.280
```

***

# 4
For Cs2InAsBr6, a structure optimized by DFT (GGA-PBE) gives the computed PXRD pattern in this record (Cu Kα, 1.54184 Å).
Neutral-atom scattering factors, no anomalous dispersion.

Main lines, low angle first (10° ≤ 2θ ≤ 80°):
d [Å], I/Imax
4.070, 49
3.323, 68
2.878, 100
2.350, 21
2.035, 71
1.820, 12
1.736, 27
1.662, 24
1.538, 13
1.287, 29

Structural model:
```
Cs2InAsBr6
1.0
0.000 5.756 5.756
5.756 0.000 5.756
5.756 5.756 0.000
Cs In As Br
2 1 1 6
direct
0.250 0.250 0.250
0.750 0.750 0.750
0.000 0.000 0.000
0.500 0.500 0.500
0.266 0.266 0.734
0.266 0.734 0.266
0.266 0.734 0.734
0.734 0.266 0.266
0.734 0.266 0.734
0.734 0.734 0.266
```